Starting from a structure optimized by DFT (GGA-PBE), the powder diffractogram of LaYTh was computed for Cu Kα.

Largest 10 diffraction maxima, low angle first, 10 to 90 degrees two-theta:
2theta, Rel. int., hkl
13.4, 59, 2 0 -1
26.1, 55, 1 1 0
29.6, 55, 1 1 1
30.7, 100, 4 0 -3
30.8, 57, 1 1 -2
31.1, 98, 4 0 0
31.3, 95, 0 0 3
32.0, 74, 3 1 -1
44.2, 39, 3 1 -4
60.9, 29, 4 2 0

Atomic structure:
```
data_LaYTh
_chemical_formula_sum 'La4 Y4 Th4'
_space_group_name_H-M_alt 'C 1 2/m 1'
_space_group_IT_number 12
_cell_length_a 13.434
_cell_length_b 3.581
_cell_length_c 10.013
_cell_angle_alpha 90.00
_cell_angle_beta 120.99
_cell_angle_gamma 90.00
loop_
_space_group_symop_operation_xyz
'x,y,z'
'-x,-y,-z'
'-x,y,-z'
'x,-y,z'
'x+1/2,y+1/2,z'
'-x+1/2,-y+1/2,-z'
'-x+1/2,y+1/2,-z'
'x+1/2,-y+1/2,z'
loop_
_atom_site_label
_atom_site_fract_x
_atom_site_fract_y
_atom_site_fract_z
La1 0.136 0.000 0.020
Y1 0.122 0.500 0.348
Th1 0.118 0.000 0.669
```

Starting from a structure optimized by DFT (GGA-PBE), the powder diffractogram of LaY9Th2 was computed for Cu Kα.

Largest 10 diffraction maxima, low angle first, 10 to 90 degrees two-theta:
2theta, Rel. int., hkl
17.5, 13, 0 0 3
24.8, 12, 1 1 0
30.5, 100, 1 1 3
35.3, 17, 0 0 6
35.4, 34, 2 0 0
50.8, 23, 2 0 6
51.0, 12, 2 2 0
60.4, 14, 1 1 9
60.6, 28, 3 1 3
63.5, 12, 2 2 6

Atomic structure:
```
data_LaY9Th2
_chemical_formula_sum 'La1 Y9 Th2'
_space_group_name_H-M_alt 'P 4/m m m'
_space_group_IT_number 123
_space_group_name_Hall '-P 4 2'
_cell_length_a 5.069
_cell_length_b 5.069
_cell_length_c 15.266
_cell_angle_alpha 90.00
_cell_angle_beta 90.00
_cell_angle_gamma 90.00
loop_
_atom_site_label
_atom_site_fract_x
_atom_site_fract_y
_atom_site_fract_z
La1 0.000 0.000 0.000
Y1 0.000 0.500 0.172
Y2 0.000 0.500 0.500
Y3 0.500 0.500 0.000
Y4 0.500 0.500 0.335
Th1 0.000 0.000 0.334
```